[1]
For Dy5Sn18Os6, a crystal structure in the Materials Project, relaxed with GGA-PBE gives the calculated PXRD pattern in this record (Cu Ka).

Main lines, in order of rising 2θ (10 to 90 degrees two-theta):
2θ/deg	Rel. int.
12.6	15
22.0	21
33.2	100
36.3	70
38.0	21
38.6	23
42.8	62
55.7	24
65.3	35
81.3	21

Structural model:
Cell: 9.906 9.906 9.906 Å, 60.00 60.00 60.00°
Fractional coordinates of all 29 atoms:
Dy (0.000, 0.000, 0.000)
Dy (0.115, 0.628, 0.628)
Dy (0.628, 0.115, 0.628)
Dy (0.628, 0.628, 0.115)
Dy (0.628, 0.628, 0.628)
Sn (0.002, 0.002, 0.347)
Sn (0.002, 0.002, 0.649)
Sn (0.002, 0.347, 0.002)
Sn (0.002, 0.347, 0.649)
Sn (0.002, 0.649, 0.002)
Sn (0.002, 0.649, 0.347)
Sn (0.250, 0.250, 0.250)
Sn (0.347, 0.002, 0.002)
Sn (0.347, 0.002, 0.649)
Sn (0.347, 0.649, 0.002)
Sn (0.410, 0.410, 0.410)
Sn (0.410, 0.410, 0.770)
Sn (0.410, 0.770, 0.410)
Sn (0.649, 0.002, 0.002)
Sn (0.649, 0.002, 0.347)
Sn (0.649, 0.347, 0.002)
Sn (0.750, 0.750, 0.750)
Sn (0.770, 0.410, 0.410)
Os (0.253, 0.253, 0.747)
Os (0.253, 0.747, 0.253)
Os (0.253, 0.747, 0.747)
Os (0.747, 0.253, 0.253)
Os (0.747, 0.253, 0.747)
Os (0.747, 0.747, 0.253)


[2]
For CaZrAl9BO18, a crystal structure in the Materials Project, relaxed with GGA-PBE gives the calculated PXRD pattern in this record (Cu Ka).

Main lines, in order of rising 2θ (10 to 90 degrees two-theta):
2θ/deg	Rel. int.
11.6	29
15.6	78
23.8	66
31.4	39
35.3	100
37.6	61
44.7	72
52.5	49
63.4	28
64.8	50

Structural model:
Cell: 8.808 8.808 8.563 Å, 90.00 90.00 120.00°
Fractional coordinates of all 60 atoms:
Ca (0.000, 0.000, 0.000)
Ca (0.000, 0.000, 0.500)
Zr (0.333, 0.667, 0.250)
Zr (0.667, 0.333, 0.750)
Al (0.004, 0.667, 0.250)
Al (0.018, 0.657, 0.578)
Al (0.018, 0.657, 0.922)
Al (0.333, 0.337, 0.250)
Al (0.337, 0.004, 0.750)
Al (0.343, 0.361, 0.578)
Al (0.343, 0.361, 0.922)
Al (0.361, 0.018, 0.078)
Al (0.361, 0.018, 0.422)
Al (0.639, 0.982, 0.578)
Al (0.639, 0.982, 0.922)
Al (0.657, 0.639, 0.078)
Al (0.657, 0.639, 0.422)
Al (0.663, 0.996, 0.250)
Al (0.667, 0.663, 0.750)
Al (0.982, 0.343, 0.078)
Al (0.982, 0.343, 0.422)
Al (0.996, 0.333, 0.750)
B (0.333, 0.667, 0.750)
B (0.667, 0.333, 0.250)
O (0.107, 0.300, 0.583)
O (0.107, 0.300, 0.917)
O (0.110, 0.330, 0.250)
O (0.117, 0.595, 0.092)
O (0.117, 0.595, 0.408)
O (0.154, 0.601, 0.750)
O (0.192, 0.893, 0.583)
O (0.192, 0.893, 0.917)
O (0.219, 0.890, 0.250)
O (0.300, 0.192, 0.083)
O (0.300, 0.192, 0.417)
O (0.330, 0.219, 0.750)
O (0.399, 0.553, 0.750)
O (0.405, 0.522, 0.092)
O (0.405, 0.522, 0.408)
O (0.447, 0.846, 0.750)
O (0.478, 0.883, 0.092)
O (0.478, 0.883, 0.408)
O (0.522, 0.117, 0.592)
O (0.522, 0.117, 0.908)
O (0.553, 0.154, 0.250)
O (0.595, 0.478, 0.592)
O (0.595, 0.478, 0.908)
O (0.601, 0.447, 0.250)
O (0.670, 0.781, 0.250)
O (0.700, 0.808, 0.583)
O (0.700, 0.808, 0.917)
O (0.781, 0.110, 0.750)
O (0.808, 0.107, 0.083)
O (0.808, 0.107, 0.417)
O (0.846, 0.399, 0.250)
O (0.883, 0.405, 0.592)
O (0.883, 0.405, 0.908)
O (0.890, 0.670, 0.750)
O (0.893, 0.700, 0.083)
O (0.893, 0.700, 0.417)


[3]
For LiGaPt, a crystal structure in the Materials Project, relaxed with GGA-PBE gives the calculated PXRD pattern in this record (Cu Ka).

Main lines, in order of rising 2θ (10 to 90 degrees two-theta):
2θ/deg	Rel. int.
24.5	86
29.6	17
41.5	100
43.0	62
50.1	13
55.3	11
61.4	32
77.9	32
78.9	10
85.2	17

Structural model:
Cell: 4.203 4.203 5.420 Å, 90.00 90.00 120.00°
Fractional coordinates of all 6 atoms:
Li (0.333, 0.667, 0.250)
Li (0.667, 0.333, 0.750)
Ga (0.333, 0.667, 0.750)
Ga (0.667, 0.333, 0.250)
Pt (0.000, 0.000, 0.000)
Pt (0.000, 0.000, 0.500)


[4]
For TbInCu, a crystal structure in the Materials Project, relaxed with GGA-PBE gives the calculated PXRD pattern in this record (Cu Ka).

Main lines, in order of rising 2θ (10 to 90 degrees two-theta):
2θ/deg	Rel. int.
32.9	100
35.8	75
36.8	51
41.9	23
45.6	22
50.9	13
56.3	22
60.0	24
63.7	12
67.4	24

Structural model:
Cell: 7.463 7.463 3.977 Å, 90.00 90.00 120.00°
Fractional coordinates of all 9 atoms:
Tb (0.000, 0.411, 0.000)
Tb (0.411, 0.000, 0.000)
Tb (0.589, 0.589, 0.000)
In (0.000, 0.747, 0.500)
In (0.253, 0.253, 0.500)
In (0.747, 0.000, 0.500)
Cu (0.000, 0.000, 0.000)
Cu (0.333, 0.667, 0.500)
Cu (0.667, 0.333, 0.500)


[5]
For TiSi2, a crystal structure in the Materials Project, relaxed with GGA-PBE gives the calculated PXRD pattern in this record (Cu Ka).

Main lines, in order of rising 2θ (10 to 90 degrees two-theta):
2θ/deg	Rel. int.
28.3	10
32.1	9
40.1	18
41.0	100
47.8	9
51.1	14
51.3	14
75.4	9
89.5	10
89.8	15

Structural model:
Cell: 3.559 13.498 3.572 Å, 90.00 90.00 90.00°
Fractional coordinates of all 12 atoms:
Ti (0.000, 0.103, 0.250)
Ti (0.000, 0.897, 0.750)
Ti (0.500, 0.397, 0.750)
Ti (0.500, 0.603, 0.250)
Si (0.000, 0.250, 0.750)
Si (0.000, 0.440, 0.250)
Si (0.000, 0.560, 0.750)
Si (0.000, 0.750, 0.250)
Si (0.500, 0.060, 0.750)
Si (0.500, 0.250, 0.250)
Si (0.500, 0.750, 0.750)
Si (0.500, 0.940, 0.250)